(1)
Diffraction record for PrSc3Zn4. The X-ray diffraction stick pattern is computed, not measured: it uses a DFT-relaxed cell (GGA-PBE, Alexandria) and CuKα.
No peak broadening, texture or thermal motion is included.

Crystal structure
abc: 9.695 6.996 4.846
angles: 90.00 90.00 90.00
Sites, in units of the cell vectors:
Pr1 0.000 0.000 0.000
Pr2 0.500 0.000 0.000
Sc1 0.000 0.500 0.000
Sc2 0.250 0.000 0.499
Sc3 0.250 0.500 0.499
Sc4 0.500 0.500 0.000
Sc5 0.750 0.000 0.501
Sc6 0.750 0.500 0.501
Zn1 0.000 0.276 0.500
Zn2 0.000 0.724 0.500
Zn3 0.250 0.276 0.999
Zn4 0.250 0.724 0.999
Zn5 0.500 0.276 0.500
Zn6 0.500 0.724 0.500
Zn7 0.750 0.276 0.001
Zn8 0.750 0.724 0.001

Main lines, by angle (2θ = 15–90°):
two_theta  d (Å)  I (rel.)
18.31  4.847  9
22.31  3.984  11
29.01  3.078  13
36.71  2.448  100
37.10  2.423  51
53.47  1.714  17
65.86  1.418  14
66.62  1.404  32


(2)
Diffraction record for Ac5NdIn3. The X-ray diffraction stick pattern is computed, not measured: it uses a DFT-relaxed cell (GGA-PBE, Alexandria) and CuKα.
No peak broadening, texture or thermal motion is included.

Crystal structure
abc: 10.134 10.134 7.391
angles: 90.00 90.00 120.00
Sites, in units of the cell vectors:
Ac1 0.000 0.326 0.250
Ac2 0.000 0.674 0.750
Ac3 0.326 0.000 0.250
Ac4 0.326 0.326 0.750
Ac5 0.333 0.667 0.000
Ac6 0.333 0.667 0.500
Ac7 0.667 0.333 0.000
Ac8 0.667 0.333 0.500
Ac9 0.674 0.000 0.750
Ac10 0.674 0.674 0.250
Nd1 0.000 0.000 0.000
Nd2 0.000 0.000 0.500
In1 0.000 0.336 0.750
In2 0.000 0.664 0.250
In3 0.336 0.000 0.750
In4 0.336 0.336 0.250
In5 0.664 0.000 0.250
In6 0.664 0.664 0.750

Main lines, by angle (2θ = 15–90°):
two_theta  d (Å)  I (rel.)
29.93  2.986  99
30.56  2.926  100
43.30  2.090  36
53.92  1.700  39
54.31  1.689  20
59.14  1.562  31
71.87  1.314  16
76.40  1.247  15


(3)
Diffraction record for Pb3O4. The X-ray diffraction stick pattern is computed, not measured: it uses a DFT-relaxed cell (GGA-PBE, Alexandria) and CuKα.
No peak broadening, texture or thermal motion is included.

Crystal structure
abc: 8.986 9.068 6.777
angles: 90.00 90.00 90.00
Sites, in units of the cell vectors:
Pb1 0.000 0.000 0.250
Pb2 0.000 0.000 0.750
Pb3 0.144 0.332 0.000
Pb4 0.166 0.647 0.500
Pb5 0.334 0.147 0.500
Pb6 0.356 0.832 0.000
Pb7 0.500 0.500 0.250
Pb8 0.500 0.500 0.750
Pb9 0.644 0.168 0.000
Pb10 0.666 0.853 0.500
Pb11 0.834 0.353 0.500
Pb12 0.856 0.668 0.000
O1 0.095 0.867 0.000
O2 0.135 0.906 0.500
O3 0.171 0.171 0.250
O4 0.171 0.171 0.750
O5 0.329 0.671 0.250
O6 0.329 0.671 0.750
O7 0.365 0.406 0.500
O8 0.405 0.367 0.000
O9 0.595 0.633 0.000
O10 0.635 0.594 0.500
O11 0.671 0.329 0.250
O12 0.671 0.329 0.750
O13 0.829 0.829 0.250
O14 0.829 0.829 0.750
O15 0.865 0.094 0.500
O16 0.905 0.133 0.000

Main lines, by angle (2θ = 15–90°):
two_theta  d (Å)  I (rel.)
25.63  3.475  97
25.74  3.461  100
29.85  2.993  72
31.22  2.865  50
31.45  2.844  47
33.00  2.714  32
46.04  1.971  43
50.66  1.802  62


(4)
Diffraction record for TbYGa2. The X-ray diffraction stick pattern is computed, not measured: it uses a DFT-relaxed cell (GGA-PBE, Alexandria) and CuKα.
No peak broadening, texture or thermal motion is included.

Crystal structure
abc: 4.373 4.056 5.888
angles: 90.00 111.77 90.00
Sites, in units of the cell vectors:
Tb1 0.000 0.000 0.000
Y1 0.278 0.500 0.557
Ga1 0.563 0.500 0.126
Ga2 0.715 0.000 0.432

Main lines, by angle (2θ = 15–90°):
two_theta  d (Å)  I (rel.)
31.17  2.870  100
31.96  2.800  38
32.75  2.734  26
39.09  2.304  59
39.76  2.267  21
41.29  2.187  26
44.68  2.028  23
73.83  1.283  17


(5)
Diffraction record for ThMgBr. The X-ray diffraction stick pattern is computed, not measured: it uses a DFT-relaxed cell (GGA-PBE, Alexandria) and CuKα.
No peak broadening, texture or thermal motion is included.

Crystal structure
abc: 16.564 3.556 3.556
angles: 59.98 90.00 90.00
Sites, in units of the cell vectors:
Th1 0.177 0.000 0.000
Th2 0.823 0.000 0.000
Mg1 0.000 0.667 0.667
Mg2 0.500 0.728 0.728
Br1 0.315 0.332 0.332
Br2 0.685 0.332 0.332

Main lines, by angle (2θ = 15–90°):
two_theta  d (Å)  I (rel.)
16.05  5.521  26
29.00  3.079  31
29.51  3.027  27
30.99  2.886  33
32.43  2.761  22
33.32  2.689  100
39.98  2.255  39
51.40  1.778  22


(6)
Diffraction record for ZrSe4. The X-ray diffraction stick pattern is computed, not measured: it uses a DFT-relaxed cell (GGA-PBE, Alexandria) and CuKα.
No peak broadening, texture or thermal motion is included.

Crystal structure
abc: 5.227 5.227 5.227
angles: 90.00 90.00 90.00
Sites, in units of the cell vectors:
Zr1 0.000 0.000 0.000
Se1 0.000 0.000 0.500
Se2 0.000 0.500 0.000
Se3 0.500 0.000 0.000
Se4 0.500 0.500 0.500

Main lines, by angle (2θ = 15–90°):
two_theta  d (Å)  I (rel.)
16.96  5.227  30
24.08  3.696  26
29.60  3.018  60
34.31  2.613  100
49.31  1.848  70
58.57  1.576  25
61.45  1.509  24
82.54  1.169  31


(7)
Diffraction record for ErTh2Rh5Au. The X-ray diffraction stick pattern is computed, not measured: it uses a DFT-relaxed cell (GGA-PBE, Alexandria) and CuKα.
No peak broadening, texture or thermal motion is included.

Crystal structure
abc: 8.075 8.075 8.075
angles: 117.69 117.69 94.05
Sites, in units of the cell vectors:
Er1 0.250 0.250 0.000
Er2 0.750 0.750 0.000
Th1 0.138 0.638 0.777
Th2 0.362 0.138 0.500
Th3 0.638 0.862 0.500
Th4 0.862 0.362 0.223
Rh1 0.000 0.000 0.000
Rh2 0.057 0.169 0.500
Rh3 0.169 0.669 0.111
Rh4 0.331 0.443 0.500
Rh5 0.443 0.943 0.111
Rh6 0.500 0.500 0.000
Rh7 0.557 0.057 0.889
Rh8 0.669 0.557 0.500
Rh9 0.831 0.331 0.889
Rh10 0.943 0.831 0.500
Au1 0.250 0.750 0.500
Au2 0.750 0.250 0.500

Main lines, by angle (2θ = 15–90°):
two_theta  d (Å)  I (rel.)
26.79  3.328  24
30.25  2.954  61
33.93  2.642  33
34.25  2.618  100
37.76  2.382  34
39.20  2.298  56
46.50  1.953  34
47.96  1.897  25


(8)
Diffraction record for ZrGe2S6. The X-ray diffraction stick pattern is computed, not measured: it uses a DFT-relaxed cell (GGA-PBE, Alexandria) and CuKα.
No peak broadening, texture or thermal motion is included.

Crystal structure
abc: 8.274 8.274 6.459
angles: 98.22 98.22 85.40
Sites, in units of the cell vectors:
Zr1 0.124 0.876 0.750
Zr2 0.876 0.124 0.250
Ge1 0.228 0.376 0.674
Ge2 0.376 0.228 0.174
Ge3 0.624 0.772 0.826
Ge4 0.772 0.624 0.326
S1 0.044 0.179 0.619
S2 0.119 0.601 0.850
S3 0.179 0.044 0.119
S4 0.291 0.454 0.377
S5 0.399 0.881 0.650
S6 0.454 0.291 0.877
S7 0.546 0.709 0.123
S8 0.601 0.119 0.350
S9 0.709 0.546 0.623
S10 0.821 0.956 0.881
S11 0.881 0.399 0.150
S12 0.956 0.821 0.381

Main lines, by angle (2θ = 15–90°):
two_theta  d (Å)  I (rel.)
15.79  5.611  38
16.52  5.366  89
23.74  3.748  100
24.29  3.664  48
27.50  3.243  78
27.97  3.190  50
48.81  1.866  56
49.76  1.832  48